Simulated PXRD pattern
Compound: SrC6
Radiation: CuKα
Structure: DFT lattice parameters and positions (PBE)
Neutral-atom scattering factors, no anomalous dispersion.

Most intense lines, 10 to 90 degrees two-theta, most intense first:
(hkl), Position (°2θ), d/Å, I_rel
1 0 1, 25.33, 3.516, 100
0 0 4, 36.01, 2.494, 66
1 1 2, 45.60, 1.989, 47
1 0 2, 29.76, 3.002, 22
1 0 0, 23.68, 3.757, 20
2 0 3, 56.20, 1.637, 18
2 0 1, 49.37, 1.846, 16
1 0 5, 51.83, 1.764, 14
2 1 1, 66.51, 1.406, 13
1 1 6, 71.42, 1.321, 11

Structure:
```
SrC6
1.0
4.3379 0.0000 0.0000
-2.1690 3.7568 0.0000
0.0000 0.0000 9.9899
Sr C
2 12
direct
0.3333 0.6667 0.2500 Sr
0.6667 0.3333 0.7500 Sr
0.0000 0.3333 0.0000 C
0.0000 0.3333 0.5000 C
0.0000 0.6667 0.0000 C
0.0000 0.6667 0.5000 C
0.3333 0.0000 0.0000 C
0.3333 0.0000 0.5000 C
0.3333 0.3333 0.0000 C
0.3333 0.3333 0.5000 C
0.6667 0.0000 0.0000 C
0.6667 0.0000 0.5000 C
0.6667 0.6667 0.0000 C
0.6667 0.6667 0.5000 C
```



Simulated PXRD pattern
Compound: SrScNb2O8
Radiation: CuKα
Structure: DFT lattice parameters and positions (PBE)
Neutral-atom scattering factors, no anomalous dispersion.

Most intense lines, 10 to 90 degrees two-theta, most intense first:
(hkl), Position (°2θ), d/Å, I_rel
0 1 1, 23.15, 3.842, 100
1 1 0, 32.84, 2.727, 82
0 0 1, 13.40, 6.606, 55
1 0 2, 33.10, 2.707, 45
2 -1 2, 43.01, 2.103, 32
2 0 1, 40.57, 2.224, 30
3 0 0, 58.64, 1.574, 27
3 -2 1, 53.15, 1.723, 23
0 2 2, 47.32, 1.921, 23
2 1 2, 58.80, 1.570, 20

Structure:
```
SrScNb2O8
1.0
5.4537 0.0000 0.0000
-2.7268 4.7230 0.0000
0.0000 0.0000 6.6060
Sr Sc Nb O
1 1 2 8
direct
0.0000 0.0000 0.0000 Sr
0.0000 0.0000 0.5000 Sc
0.3333 0.6667 0.3908 Nb
0.6667 0.3333 0.6092 Nb
0.0409 0.3527 0.6448 O
0.3118 0.9591 0.6448 O
0.3333 0.6667 0.1102 O
0.3527 0.3118 0.3552 O
0.6473 0.6882 0.6448 O
0.6667 0.3333 0.8898 O
0.6882 0.0409 0.3552 O
0.9591 0.6473 0.3552 O
```